No. 1
For Ta4AlHg, DFT lattice parameters and positions (PBE) gives the computed powder X-ray diffraction pattern in this record (Cu Kα X-rays).

Main lines, low angle first (5 to 70 degrees two-theta):
- 19.76°, I = 32
- 32.55°, I = 14
- 38.37°, I = 100
- 40.15°, I = 56
- 61.97°, I = 34
- 68.18°, I = 29

Structural model:
```
Ta4AlHg
1.0
0.0000 3.8905 3.8905
3.8905 0.0000 3.8905
3.8905 3.8905 0.0000
Ta Al Hg
4 1 1
Cartesian
0.9637 0.9637 0.9637
2.9268 2.9268 0.9637
2.9268 0.9637 2.9268
0.9637 2.9268 2.9268
5.8357 5.8357 5.8357
3.8905 3.8905 3.8905
```

---

No. 2
For Tb7Al5Hg, DFT lattice parameters and positions (PBE) gives the computed powder X-ray diffraction pattern in this record (Cu Kα X-rays).

Main lines, low angle first (5 to 70 degrees two-theta):
- 28.26°, I = 100
- 28.88°, I = 49
- 30.58°, I = 91
- 34.20°, I = 62
- 35.02°, I = 94
- 37.80°, I = 91

Structural model:
```
Tb7Al5Hg
1.0
-3.1586 4.9472 5.3174
3.1586 -4.9472 5.3174
3.1586 4.9472 -5.3174
Tb Al Hg
7 5 1
Cartesian
0.0000 0.0000 0.0000
3.1586 1.8455 1.0005
0.0000 0.0000 3.8919
0.0000 3.2394 0.9464
0.0000 6.6550 0.9464
0.0000 4.9472 3.5567
0.0000 3.1017 6.3179
1.3903 2.4389 -1.6292
1.7683 -2.5083 3.6882
3.1586 0.0000 3.6017
1.3903 7.4555 -1.6292
1.7683 2.5083 3.6882
0.0000 0.0000 7.1990
```

---

No. 3
For Al4HgTe7, DFT lattice parameters and positions (PBE) gives the computed powder X-ray diffraction pattern in this record (Cu Kα X-rays).

Main lines, low angle first (5 to 70 degrees two-theta):
- 13.48°, I = 76
- 23.71°, I = 65
- 25.12°, I = 100
- 26.88°, I = 99
- 42.02°, I = 59
- 49.58°, I = 53

Structural model:
```
Al4HgTe7
1.0
17.3979 0.0000 0.0000
0.0000 7.4217 0.0000
0.0000 0.0000 7.0911
Al Hg Te
8 2 14
Cartesian
2.2011 1.2904 0.0000
4.2433 2.4464 3.3336
4.4557 4.9753 6.8791
6.4978 6.1314 3.5455
10.9000 6.1314 3.5455
12.9422 4.9753 6.8791
13.1546 2.4464 3.3336
15.1968 1.2904 0.0000
0.0000 4.9016 6.3943
8.6989 2.5201 2.8487
0.0000 2.1629 5.8249
2.0128 1.3933 2.5693
2.3757 6.3070 5.8949
4.2965 4.9913 2.4990
4.4025 2.4304 6.0445
6.3232 1.1147 2.3493
6.6862 6.0284 6.1148
8.6989 5.2589 2.2793
10.7117 6.0284 6.1148
11.0747 1.1147 2.3493
12.9954 2.4304 6.0445
13.1014 4.9913 2.4990
15.0221 6.3070 5.8949
15.3851 1.3933 2.5693
```

---

No. 4
For AlTl2HgTe4, DFT lattice parameters and positions (PBE) gives the computed powder X-ray diffraction pattern in this record (Cu Kα X-rays).

Main lines, low angle first (5 to 70 degrees two-theta):
- 23.13°, I = 39
- 25.23°, I = 100
- 25.68°, I = 100
- 30.77°, I = 65
- 37.59°, I = 51
- 40.37°, I = 41

Structural model:
```
AlTl2HgTe4
1.0
6.9544 0.0000 0.0000
-0.4853 7.0587 0.0000
-3.1915 -3.4713 5.8125
Al Tl Hg Te
1 2 1 4
Cartesian
0.0000 0.0000 0.0000
-0.5831 0.6450 5.8069
2.8136 0.5321 2.9099
-0.1286 3.4166 2.9175
-0.8420 0.7177 2.4225
-0.6752 -2.7692 5.5505
2.5172 4.3479 3.3806
6.0158 4.4813 0.2507
```

---

No. 5
For Th2AlHg2, DFT lattice parameters and positions (PBE) gives the computed powder X-ray diffraction pattern in this record (Cu Kα X-rays).

Main lines, low angle first (5 to 70 degrees two-theta):
- 30.52°, I = 60
- 31.15°, I = 100
- 31.56°, I = 40
- 37.18°, I = 56
- 38.56°, I = 39
- 50.65°, I = 25

Structural model:
```
Th2AlHg2
1.0
5.6829 -2.3350 0.0000
5.6829 2.3350 0.0000
-4.9895 0.0000 9.8404
Th Al Hg
4 2 4
Cartesian
-1.5478 0.0000 3.2765
1.5889 0.0000 0.9321
4.7874 0.0000 8.9083
7.9241 0.0000 6.5639
-0.1831 0.0000 6.5826
6.5594 0.0000 3.2579
1.7714 0.0000 4.3265
4.7898 0.0000 1.2008
1.5865 0.0000 8.6397
4.6049 0.0000 5.5139
```

---

No. 6
For Ti6AlHg, DFT lattice parameters and positions (PBE) gives the computed powder X-ray diffraction pattern in this record (Cu Kα X-rays).

Main lines, low angle first (5 to 70 degrees two-theta):
- 10.77°, I = 46
- 24.36°, I = 36
- 32.91°, I = 19
- 38.13°, I = 100
- 44.41°, I = 32
- 64.39°, I = 20

Structural model:
```
Ti6AlHg
1.0
4.0795 0.0000 0.0000
0.0000 4.0795 0.0000
0.0000 0.0000 8.2122
Ti Al Hg
6 1 1
Cartesian
0.0000 0.0000 0.0000
0.0000 0.0000 4.1061
0.0000 2.0398 1.9805
0.0000 2.0398 6.2318
2.0398 0.0000 1.9805
2.0398 0.0000 6.2318
2.0398 2.0398 0.0000
2.0398 2.0398 4.1061
```

---

No. 7
For AlTl2Hg, DFT lattice parameters and positions (PBE) gives the computed powder X-ray diffraction pattern in this record (Cu Kα X-rays).

Main lines, low angle first (5 to 70 degrees two-theta):
- 26.81°, I = 18
- 28.75°, I = 39
- 31.36°, I = 22
- 33.31°, I = 31
- 34.51°, I = 100
- 60.30°, I = 20

Structural model:
```
AlTl2Hg
1.0
3.4758 0.0000 0.0000
0.0000 5.3797 0.0000
0.0000 0.0000 11.4084
Al Tl Hg
2 4 2
Cartesian
0.0000 0.0000 0.0000
1.7379 2.6898 5.7042
0.0000 0.0000 5.4347
0.0000 2.6898 3.0468
1.7379 0.0000 8.7510
1.7379 2.6898 11.1389
0.0000 2.6898 7.9727
1.7379 0.0000 2.2685
```

---

No. 8
For Tm5Al2Hg, DFT lattice parameters and positions (PBE) gives the computed powder X-ray diffraction pattern in this record (Cu Kα X-rays).

Main lines, low angle first (5 to 70 degrees two-theta):
- 27.04°, I = 42
- 29.68°, I = 55
- 32.24°, I = 100
- 34.17°, I = 75
- 37.57°, I = 68
- 57.52°, I = 32

Structural model:
```
Tm5Al2Hg
1.0
-3.7857 3.7857 7.2791
3.7857 -3.7857 7.2791
3.7857 3.7857 -7.2791
Tm Al Hg
10 4 2
Cartesian
0.0000 0.0000 0.0000
5.0651 1.2794 -2.1485
1.2794 2.5063 -2.1485
5.0651 1.2794 2.1485
1.2794 2.5063 2.1485
0.0000 0.0000 7.2791
2.5063 1.2794 5.1306
-1.2794 2.5063 5.1306
2.5063 1.2794 9.4276
-1.2794 2.5063 9.4276
2.8579 0.9278 0.0000
2.8579 -0.9278 7.2791
0.9278 4.7135 0.0000
0.9278 2.8579 7.2791
0.0000 0.0000 3.6396
0.0000 0.0000 10.9187
```

---

No. 9
For Tm3Al2Hg6, DFT lattice parameters and positions (PBE) gives the computed powder X-ray diffraction pattern in this record (Cu Kα X-rays).

Main lines, low angle first (5 to 70 degrees two-theta):
- 29.55°, I = 44
- 30.53°, I = 100
- 34.91°, I = 95
- 38.39°, I = 47
- 39.02°, I = 50
- 42.85°, I = 81

Structural model:
```
Tm3Al2Hg6
1.0
-2.1105 2.1105 15.1630
2.1105 -2.1105 15.1630
2.1105 2.1105 -15.1630
Tm Al Hg
3 2 6
Cartesian
0.0000 0.0000 0.0000
0.0000 0.0000 5.1777
0.0000 0.0000 25.1482
0.0000 0.0000 10.9703
0.0000 0.0000 19.3557
2.1105 0.0000 2.2751
0.0000 0.0000 8.2541
2.1105 0.0000 12.8879
0.0000 2.1105 2.2751
0.0000 0.0000 22.0718
0.0000 2.1105 12.8879
```

---

No. 10
For Tm4Al2Hg, DFT lattice parameters and positions (PBE) gives the computed powder X-ray diffraction pattern in this record (Cu Kα X-rays).

Main lines, low angle first (5 to 70 degrees two-theta):
- 24.94°, I = 49
- 35.44°, I = 100
- 35.67°, I = 93
- 51.17°, I = 34
- 63.64°, I = 18
- 63.78°, I = 35

Structural model:
```
Tm4Al2Hg
1.0
2.5327 1.4622 8.1947
-2.5327 1.4622 8.1947
0.0000 -2.9245 8.1947
Tm Al Hg
4 2 1
Cartesian
0.0000 0.0000 2.9183
0.0000 0.0000 9.1232
0.0000 0.0000 15.4609
0.0000 0.0000 21.6658
0.0000 0.0000 6.1348
0.0000 0.0000 18.4494
0.0000 0.0000 12.2921
```

---

No. 11
For Tm2Al2Hg, DFT lattice parameters and positions (PBE) gives the computed powder X-ray diffraction pattern in this record (Cu Kα X-rays).

Main lines, low angle first (5 to 70 degrees two-theta):
- 26.44°, I = 78
- 28.62°, I = 43
- 32.16°, I = 99
- 34.70°, I = 100
- 40.91°, I = 59
- 57.80°, I = 43

Structural model:
```
Tm2Al2Hg
1.0
6.9752 0.0000 0.0000
0.0000 6.9752 0.0000
0.0000 0.0000 9.2379
Tm Al Hg
8 8 4
Cartesian
1.1725 2.3151 0.0000
1.1725 2.3151 4.6189
2.3151 5.8027 0.0000
2.3151 5.8027 4.6189
4.6601 1.1725 0.0000
4.6601 1.1725 4.6189
5.8027 4.6601 0.0000
5.8027 4.6601 4.6189
0.9227 4.4103 2.3095
0.9227 4.4103 6.9284
2.5649 0.9227 2.3095
2.5649 0.9227 6.9284
4.4103 6.0525 2.3095
4.4103 6.0525 6.9284
6.0525 2.5649 2.3095
6.0525 2.5649 6.9284
0.0000 0.0000 2.3069
0.0000 0.0000 6.9310
3.4876 3.4876 2.3121
3.4876 3.4876 6.9258
```

---

No. 12
For Tm4AlHg, DFT lattice parameters and positions (PBE) gives the computed powder X-ray diffraction pattern in this record (Cu Kα X-rays).

Main lines, low angle first (5 to 70 degrees two-theta):
- 21.80°, I = 23
- 25.19°, I = 61
- 35.85°, I = 100
- 35.99°, I = 99
- 51.71°, I = 35
- 64.64°, I = 55

Structural model:
```
Tm4AlHg
1.0
2.4953 1.4407 8.1970
-2.4953 1.4407 8.1970
0.0000 -2.8813 8.1970
Tm Al Hg
4 1 1
Cartesian
0.0000 0.0000 3.0462
0.0000 0.0000 9.2123
0.0000 0.0000 15.3788
0.0000 0.0000 21.5449
0.0000 0.0000 0.0000
0.0000 0.0000 12.2956
```

---

No. 13
For AlHgW2, DFT lattice parameters and positions (PBE) gives the computed powder X-ray diffraction pattern in this record (Cu Kα X-rays).

Main lines, low angle first (5 to 70 degrees two-theta):
- 14.12°, I = 19
- 26.93°, I = 13
- 30.53°, I = 18
- 38.45°, I = 59
- 39.59°, I = 100
- 55.51°, I = 21

Structural model:
```
AlHgW2
1.0
3.3110 0.0000 0.0000
0.0000 3.3110 0.0000
0.0000 0.0000 6.2711
Al Hg W
1 1 2
Cartesian
0.0000 0.0000 0.0000
1.6555 1.6555 1.5751
0.0000 0.0000 3.4777
1.6555 1.6555 4.7488
```